The following is a theoretical PXRD pattern of AlCo2ReH. It was derived from a DFT-relaxed cell (PBE, Alexandria), using Cu Kα.
Peak positions follow from Bragg's law for the DFT cell and can differ from measured ones.

Principal peaks in the range 10 to 90 degrees two-theta, in order of falling intensity:
two_theta	I/Imax
41.81	100.0
23.99	47.7
33.73	39.1
49.12	31.5
86.89	23.7
70.92	20.3

Crystal structure
```
5
Lattice="3.709 0.000 0.000 0.000 3.709 0.000 0.000 0.000 3.809" Properties=species:S:1:pos:R:3 pbc="T T T"
Al 0.000 0.000 0.000
Co 0.000 1.855 1.905
Co 1.855 0.000 1.905
Re 1.855 1.855 0.000
H 1.855 1.855 1.905
```


The following is a theoretical PXRD pattern of UAlCo2H6. It was derived from a DFT-relaxed cell (PBE, Alexandria), using Cu Kα.
Peak positions follow from Bragg's law for the DFT cell and can differ from measured ones.

Principal peaks in the range 10 to 90 degrees two-theta, in order of falling intensity:
two_theta	I/Imax
25.22	100.0
34.14	88.9
38.61	66.5
43.17	66.1
27.22	32.4
57.01	28.1

Crystal structure
```
10
Lattice="2.096 1.210 5.072 -2.096 1.210 5.072 0.000 -2.420 5.072" Properties=species:S:1:pos:R:3 pbc="T T T"
U 0.000 0.000 0.000
Al 0.000 0.000 7.607
Co 0.000 0.000 3.163
Co 0.000 0.000 12.052
H -1.030 -0.595 6.006
H 0.000 -1.189 9.209
H -1.030 0.595 9.209
H 1.030 -0.595 6.006
H 0.000 1.189 6.006
H 1.030 0.595 9.209
```